RbLaTe4: simulated powder diffraction line list (Cu Kα (weighted mean of Kα1 and Kα2)), based on the GGA-PBE geometry in Alexandria.

Structural model:
Unit cell a=7.0168 b=7.0168 c=9.3955 alpha=90.00 beta=90.00 gamma=90.00
Sites, in units of the cell vectors:
Rb 0.2500 0.2500 0.0000
Rb 0.7500 0.7500 0.0000
La 0.2500 0.2500 0.5000
La 0.7500 0.7500 0.5000
Te 0.1075 0.6075 0.2912
Te 0.1075 0.8925 0.7088
Te 0.3925 0.6075 0.7088
Te 0.3925 0.8925 0.2912
Te 0.6075 0.1075 0.7088
Te 0.6075 0.3925 0.2912
Te 0.8925 0.1075 0.2912
Te 0.8925 0.3925 0.7088

Principal peaks in the range 2θ = 10–90°, most intense first:
- 30.0 deg, rel. 1000, (2 1 1)
- 26.1 deg, rel. 826, (1 1 2)
- 40.7 deg, rel. 649, (3 1 0)
- 31.8 deg, rel. 325, (2 0 2)
- 48.4 deg, rel. 277, (0 0 5)
- 56.0 deg, rel. 240, (4 0 2)
- 34.4 deg, rel. 182, (2 1 2)
- 59.2 deg, rel. 175, (3 3 2)
- 57.1 deg, rel. 173, (3 1 4)
- 18.9 deg, rel. 128, (0 0 2)